(1)
Pm5Nd2Sc4: calculated X-ray powder pattern (λ = 1.5418 Å (Cu Kα)), based on a GGA-PBE-relaxed structure.
Kinematic intensities with the Lorentz-polarization factor, no thermal factor.

The 8 most intense peaks (5 to 70 degrees two-theta), by angle:
| h k l | 2theta | d [Å] | I/Imax |
| --- | --- | --- | --- |
| 0 2 4 | 25.4 | 3.502 | 100 |
| 1 1 2 | 28.8 | 3.101 | 58 |
| 0 1 7 | 29.1 | 3.066 | 39 |
| 0 0 8 | 31.3 | 2.860 | 39 |
| 0 3 3 | 32.5 | 2.754 | 66 |
| 1 2 1 | 33.1 | 2.707 | 71 |
| 1 0 7 | 37.9 | 2.375 | 40 |
| 1 3 4 | 43.3 | 2.091 | 44 |

Crystal structure
a b c (Å): 3.458 8.858 22.879
angles (deg): 90.00 90.00 90.00
Space group Immm (No. 71)
One atom of each set of equivalent atoms:
Pm1 0.000 0.000 0.000 x2
Pm2 0.000 0.298 0.361 x8
Nd1 0.000 0.500 0.231 x4
Sc1 0.000 0.175 0.500 x4
Sc2 0.000 0.500 0.093 x4

(2)
Pm3Nd7Sc: calculated X-ray powder pattern (λ = 1.5418 Å (Cu Kα)), based on a GGA-PBE-relaxed structure.
Kinematic intensities with the Lorentz-polarization factor, no thermal factor.

The 8 most intense peaks (5 to 70 degrees two-theta), by angle:
| h k l | 2theta | d [Å] | I/Imax |
| --- | --- | --- | --- |
| 0 3 -2 | 29.6 | 3.023 | 43 |
| 0 2 2 | 30.0 | 2.982 | 41 |
| 0 1 -4 | 30.3 | 2.949 | 89 |
| 2 0 -3 | 31.0 | 2.889 | 100 |
| 2 1 -1 | 31.1 | 2.874 | 50 |
| -2 1 3 | 31.5 | 2.843 | 56 |
| 0 3 -3 | 32.2 | 2.781 | 43 |
| -2 3 1 | 32.9 | 2.724 | 53 |

Crystal structure
a b c (Å): 7.387 9.960 11.936
angles (deg): 104.38 98.91 111.77
Space group P1 (No. 1)
One atom of each set of equivalent atoms:
Pm1 0.000 0.000 0.000 x1
Pm2 0.063 0.282 0.709 x1
Pm3 0.219 0.737 0.425 x1
Pm4 0.392 0.504 0.562 x1
Pm5 0.739 0.892 0.197 x1
Pm6 0.868 0.280 0.949 x1
Nd1 0.031 0.636 0.893 x1
Nd2 0.140 0.931 0.709 x1
Nd3 0.156 0.089 0.451 x1
Nd4 0.308 0.565 0.147 x1
Nd5 0.376 0.283 0.949 x1
Nd6 0.460 0.292 0.278 x1
Nd7 0.485 0.998 0.001 x1
Nd8 0.535 0.633 0.885 x1
Nd9 0.633 0.932 0.709 x1
Nd10 0.644 0.086 0.450 x1
Nd11 0.717 0.733 0.427 x1
Nd12 0.819 0.566 0.149 x1
Nd13 0.884 0.504 0.566 x1
Nd14 0.966 0.302 0.282 x1
Sc1 0.237 0.890 0.199 x1
Sc2 0.561 0.281 0.711 x1

(3)
Pm7Nd2Sc2: calculated X-ray powder pattern (λ = 1.5418 Å (Cu Kα)), based on a GGA-PBE-relaxed structure.
Kinematic intensities with the Lorentz-polarization factor, no thermal factor.

The 8 most intense peaks (5 to 70 degrees two-theta), by angle:
| h k l | 2theta | d [Å] | I/Imax |
| --- | --- | --- | --- |
| 0 2 -1 | 27.7 | 3.221 | 29 |
| 2 0 1 | 30.5 | 2.927 | 21 |
| 2 -1 1 | 31.2 | 2.871 | 63 |
| -1 2 1 | 31.7 | 2.820 | 100 |
| 1 1 2 | 31.9 | 2.802 | 78 |
| 1 2 -1 | 32.3 | 2.768 | 37 |
| 0 1 -3 | 32.6 | 2.744 | 40 |
| 2 0 -2 | 33.4 | 2.681 | 37 |

Crystal structure
a b c (Å): 6.526 6.678 8.576
angles (deg): 98.06 93.96 97.40
Space group P-1 (No. 2)
One atom of each set of equivalent atoms:
Pm1 0.000 0.000 0.000 x1
Pm2 0.053 0.371 0.330 x2
Pm3 0.368 0.314 0.643 x2
Pm4 0.474 0.863 0.773 x2
Nd1 0.263 0.570 0.036 x2
Sc1 0.160 0.885 0.392 x2

(4)
PmNd6Sc3: calculated X-ray powder pattern (λ = 1.5418 Å (Cu Kα)), based on a GGA-PBE-relaxed structure.
Kinematic intensities with the Lorentz-polarization factor, no thermal factor.

The 8 most intense peaks (5 to 70 degrees two-theta), by angle:
| h k l | 2theta | d [Å] | I/Imax |
| --- | --- | --- | --- |
| 1 1 3 | 29.3 | 3.045 | 100 |
| 3 0 0 | 31.6 | 2.833 | 94 |
| 2 2 3 | 43.6 | 2.074 | 34 |
| 0 0 6 | 46.8 | 1.942 | 8 |
| 4 1 3 | 54.9 | 1.674 | 34 |
| 3 3 0 | 56.2 | 1.636 | 18 |
| 3 0 6 | 57.5 | 1.602 | 25 |
| 6 0 0 | 65.9 | 1.417 | 11 |

Crystal structure
a b c (Å): 9.8140 9.8140 11.6500
angles (deg): 90.00 90.00 120.00
Space group R32 (No. 155, hexagonal axes)
One atom of each set of equivalent atoms:
Pm1 0.0000 0.0000 0.0000 x3
Nd1 0.0000 0.3373 0.0000 x9
Nd2 0.0000 0.6676 0.5000 x9
Sc1 0.0000 0.0000 0.2594 x6
Sc2 0.0000 0.0000 0.5000 x3